1.
# Zr3Hg2I9
Theoretical powder X-ray diffraction pattern, Cu Kα (weighted mean of Kα1 and Kα2). Input: DFT lattice parameters and positions (PBE).
Kinematic intensities with the Lorentz-polarization factor, no thermal factor.

Largest 10 diffraction maxima, by angle, 10° ≤ 2θ ≤ 80°:
two_theta, d/Å, intensity, h k l
17.51, 5.064, 41, 0 0 2
25.93, 3.436, 54, 1 5 1
26.41, 3.375, 60, 0 0 3
27.44, 3.250, 84, 3 1 -3
27.73, 3.217, 100, 2 4 1
30.11, 2.968, 42, 3 3 -3
31.23, 2.864, 77, 1 5 2
43.27, 2.091, 40, 5 5 -2
43.95, 2.060, 34, 0 10 0
44.01, 2.057, 34, 2 4 -5

Structure:
a b c (Å): 12.1364 20.6086 11.2491
angles (deg): 90.00 115.80 90.00
Space group C2/m (No. 12)
Asymmetric unit:
Zr 0.1254 0.0000 0.3506 (multiplicity 4)
Zr 0.1546 0.0943 0.6617 (multiplicity 8)
Hg 0.1058 0.3337 0.7805 (multiplicity 8)
I 0.0000 0.1979 0.5000 (multiplicity 4)
I 0.0260 0.1000 0.8257 (multiplicity 8)
I 0.1762 0.5000 0.1623 (multiplicity 4)
I 0.1887 0.3100 0.1745 (multiplicity 8)
I 0.2046 0.4009 0.4897 (multiplicity 8)
I 0.2430 0.5000 0.8026 (multiplicity 4)

---

2.
# SrLa14Er
Theoretical powder X-ray diffraction pattern, Cu Kα (weighted mean of Kα1 and Kα2). Input: DFT lattice parameters and positions (PBE).
Kinematic intensities with the Lorentz-polarization factor, no thermal factor.

Largest 10 diffraction maxima, by angle, 10° ≤ 2θ ≤ 80°:
two_theta, d/Å, intensity, h k l
29.27, 3.051, 100, 2 0 2
33.83, 2.650, 34, 2 2 0
34.13, 2.627, 17, 0 0 4
48.59, 1.874, 12, 4 0 0
48.82, 1.865, 24, 2 2 4
57.74, 1.597, 28, 4 2 2
58.15, 1.586, 14, 2 0 6
60.72, 1.525, 12, 4 0 4
78.75, 1.215, 6, 6 0 2
79.10, 1.211, 11, 4 2 6

Structure:
a b c (Å): 7.4947 7.4947 10.5070
angles (deg): 90.00 90.00 90.00
Space group P4/mmm (No. 123)
Asymmetric unit:
Sr 0.0000 0.0000 0.0000 (multiplicity 1)
La 0.0000 0.0000 0.5000 (multiplicity 1)
La 0.0000 0.5000 0.0000 (multiplicity 2)
La 0.0000 0.5000 0.5000 (multiplicity 2)
La 0.2599 0.2599 0.2544 (multiplicity 8)
La 0.5000 0.5000 0.5000 (multiplicity 1)
Er 0.5000 0.5000 0.0000 (multiplicity 1)